No. 1
Diffraction record for FeTeS2N2Cl5. The powder diffractogram is simulated, not measured: it uses the GGA-PBE geometry in OQMD and Cu Kα X-rays.
No peak broadening, texture or thermal motion is included.

Main lines, low angle first (2θ from 15° to 90°):
d = 5.647 Å, I 100.0
d = 5.461 Å, I 73.2
d = 4.463 Å, I 57.7
d = 4.371 Å, I 71.7
d = 3.737 Å, I 57.2
d = 3.332 Å, I 61.8
d = 3.071 Å, I 66.6
d = 2.869 Å, I 51.3

Atomic structure:
Cell lengths 7.5478, 12.6291, 12.7501 Å; angles 90.00, 98.27, 90.00 degrees
Sites, in units of the cell vectors:
Fe 0.2293 0.1381 0.4625
Fe 0.2293 0.3619 0.9625
Fe 0.7707 0.6381 0.0375
Fe 0.7707 0.8619 0.5375
Te 0.3525 0.5636 0.2340
Te 0.3525 0.9364 0.7340
Te 0.6475 0.0636 0.2660
Te 0.6475 0.4364 0.7660
S 0.1234 0.0137 0.8357
S 0.1234 0.4863 0.3357
S 0.2122 0.6906 0.4112
S 0.2122 0.8094 0.9112
S 0.7878 0.1906 0.0888
S 0.7878 0.3094 0.5888
S 0.8766 0.5137 0.6643
S 0.8766 0.9863 0.1643
N 0.1061 0.5838 0.4165
N 0.1061 0.9162 0.9165
N 0.3372 0.6912 0.3232
N 0.3372 0.8088 0.8232
N 0.6628 0.1912 0.1768
N 0.6628 0.3088 0.6768
N 0.8939 0.0838 0.0835
N 0.8939 0.4162 0.5835
Cl 0.0286 0.7003 0.1189
Cl 0.0286 0.7997 0.6189
Cl 0.2436 0.1596 0.6366
Cl 0.2436 0.3404 0.1366
Cl 0.2565 0.5295 0.9294
Cl 0.2565 0.9705 0.4294
Cl 0.3821 0.5036 0.6611
Cl 0.3821 0.9964 0.1611
Cl 0.4412 0.2275 0.3984
Cl 0.4412 0.2725 0.8984
Cl 0.5588 0.7275 0.1016
Cl 0.5588 0.7725 0.6016
Cl 0.6179 0.0036 0.8389
Cl 0.6179 0.4964 0.3389
Cl 0.7435 0.0295 0.5706
Cl 0.7435 0.4705 0.0706
Cl 0.7564 0.6596 0.8634
Cl 0.7564 0.8404 0.3634
Cl 0.9714 0.2003 0.3811
Cl 0.9714 0.2997 0.8811

***

No. 2
Diffraction record for FePCl8. The powder diffractogram is simulated, not measured: it uses the GGA-PBE geometry in OQMD and Cu Kα X-rays.
No peak broadening, texture or thermal motion is included.

Main lines, low angle first (2θ from 15° to 90°):
d = 5.202 Å, I 42.4
d = 4.855 Å, I 100.0
d = 3.813 Å, I 50.9
d = 3.512 Å, I 38.7
d = 3.040 Å, I 36.3
d = 2.970 Å, I 41.7
d = 2.936 Å, I 50.0
d = 2.865 Å, I 43.6

Atomic structure:
Cell lengths 6.1614, 13.4694, 14.0104 Å; angles 90.00, 90.00, 90.00 degrees
Sites, in units of the cell vectors:
Fe 0.2278 0.0266 0.2500
Fe 0.2278 0.4734 0.7500
Fe 0.7722 0.5266 0.2500
Fe 0.7722 0.9734 0.7500
P 0.4546 0.7500 0.0000
P 0.4546 0.7500 0.5000
P 0.5454 0.2500 0.0000
P 0.5454 0.2500 0.5000
Cl 0.0950 0.5394 0.6186
Cl 0.0950 0.5394 0.8814
Cl 0.0950 0.9606 0.1186
Cl 0.0950 0.9606 0.3814
Cl 0.1603 0.1887 0.2500
Cl 0.1603 0.3113 0.7500
Cl 0.2692 0.6968 0.1015
Cl 0.2692 0.6968 0.3985
Cl 0.2692 0.8032 0.6015
Cl 0.2692 0.8032 0.8985
Cl 0.3596 0.1447 0.5510
Cl 0.3596 0.1447 0.9490
Cl 0.3596 0.3553 0.0510
Cl 0.3596 0.3553 0.4490
Cl 0.4204 0.5023 0.2500
Cl 0.4204 0.9977 0.7500
Cl 0.5796 0.0023 0.2500
Cl 0.5796 0.4977 0.7500
Cl 0.6404 0.6447 0.5510
Cl 0.6404 0.6447 0.9490
Cl 0.6404 0.8553 0.0510
Cl 0.6404 0.8553 0.4490
Cl 0.7308 0.1968 0.1015
Cl 0.7308 0.1968 0.3985
Cl 0.7308 0.3032 0.6015
Cl 0.7308 0.3032 0.8985
Cl 0.8397 0.6887 0.2500
Cl 0.8397 0.8113 0.7500
Cl 0.9050 0.0394 0.6186
Cl 0.9050 0.0394 0.8814
Cl 0.9050 0.4606 0.1186
Cl 0.9050 0.4606 0.3814

***

No. 3
Diffraction record for FePtCl6. The powder diffractogram is simulated, not measured: it uses the GGA-PBE geometry in OQMD and Cu Kα X-rays.
No peak broadening, texture or thermal motion is included.

Main lines, low angle first (2θ from 15° to 90°):
d = 5.859 Å, I 91.4
d = 4.888 Å, I 100.0
d = 4.872 Å, I 50.6
d = 3.159 Å, I 37.0
d = 2.746 Å, I 64.5
d = 2.730 Å, I 31.6
d = 2.131 Å, I 51.0
d = 1.653 Å, I 24.0

Atomic structure:
Cell lengths 6.2145, 6.2145, 11.7179 Å; angles 90.07, 90.07, 120.38 degrees
Sites, in units of the cell vectors:
Fe 0.0035 0.9965 0.7500
Fe 0.9965 0.0035 0.2500
Pt 0.3331 0.6669 0.7500
Pt 0.6669 0.3331 0.2500
Cl 0.0301 0.3454 0.6344
Cl 0.0315 0.6877 0.8649
Cl 0.3113 0.3430 0.8645
Cl 0.3123 0.9685 0.6351
Cl 0.3430 0.3113 0.3645
Cl 0.3454 0.0301 0.1344
Cl 0.6546 0.9699 0.8656
Cl 0.6570 0.6887 0.6355
Cl 0.6877 0.0315 0.3649
Cl 0.6887 0.6570 0.1355
Cl 0.9685 0.3123 0.1351
Cl 0.9699 0.6546 0.3656

***

No. 4
Diffraction record for FeW2Cl10. The powder diffractogram is simulated, not measured: it uses the GGA-PBE geometry in OQMD and Cu Kα X-rays.
No peak broadening, texture or thermal motion is included.

Main lines, low angle first (2θ from 15° to 90°):
d = 5.514 Å, I 100.0
d = 4.861 Å, I 73.8
d = 3.540 Å, I 31.1
d = 3.042 Å, I 33.5
d = 2.913 Å, I 31.6
d = 2.538 Å, I 67.5
d = 2.464 Å, I 73.6
d = 1.932 Å, I 26.8

Atomic structure:
Cell lengths 8.9519, 8.9519, 12.0941 Å; angles 93.38, 93.38, 139.65 degrees
Sites, in units of the cell vectors:
Fe 0.0567 0.9433 0.7500
Fe 0.9433 0.0567 0.2500
W 0.2711 0.7289 0.7500
W 0.4293 0.5707 0.7500
W 0.5707 0.4293 0.2500
W 0.7289 0.2711 0.2500
Cl 0.0517 0.7316 0.8652
Cl 0.0861 0.5990 0.3586
Cl 0.0970 0.2047 0.6371
Cl 0.2047 0.0970 0.1371
Cl 0.2198 0.5189 0.8873
Cl 0.2684 0.9483 0.6348
Cl 0.3251 0.4004 0.3598
Cl 0.4004 0.3251 0.8598
Cl 0.4010 0.9139 0.1414
Cl 0.4811 0.7802 0.6127
Cl 0.5189 0.2198 0.3873
Cl 0.5990 0.0861 0.8586
Cl 0.5996 0.6749 0.1402
Cl 0.6749 0.5996 0.6402
Cl 0.7316 0.0517 0.3652
Cl 0.7802 0.4811 0.1127
Cl 0.7953 0.9030 0.8629
Cl 0.9030 0.7953 0.3629
Cl 0.9139 0.4010 0.6414
Cl 0.9483 0.2684 0.1348

***

No. 5
Diffraction record for PrGd2GaCl3. The powder diffractogram is simulated, not measured: it uses the GGA-PBE geometry in OQMD and Cu Kα X-rays.
No peak broadening, texture or thermal motion is included.

Main lines, low angle first (2θ from 15° to 90°):
d = 5.743 Å, I 69.8
d = 3.315 Å, I 51.3
d = 2.880 Å, I 50.7
d = 2.866 Å, I 100.0
d = 2.032 Å, I 72.9
d = 2.027 Å, I 36.2
d = 1.657 Å, I 37.7
d = 1.282 Å, I 31.6

Atomic structure:
Cell lengths 5.7321, 5.7321, 5.7607 Å; angles 90.00, 90.00, 90.00 degrees
Sites, in units of the cell vectors:
Pr 0.0000 0.0000 0.0000
Gd 0.0000 0.5000 0.5000
Gd 0.5000 0.0000 0.5000
Ga 0.0000 0.0000 0.5000
Cl 0.0000 0.5000 0.0000
Cl 0.5000 0.0000 0.0000
Cl 0.5000 0.5000 0.5000

***

No. 6
Diffraction record for Ga4Hg11P4Cl16. The powder diffractogram is simulated, not measured: it uses the GGA-PBE geometry in OQMD and Cu Kα X-rays.
No peak broadening, texture or thermal motion is included.

Main lines, low angle first (2θ from 15° to 90°):
d = 3.759 Å, I 56.2
d = 3.565 Å, I 41.9
d = 3.204 Å, I 53.0
d = 3.190 Å, I 100.0
d = 3.169 Å, I 68.1
d = 3.074 Å, I 41.5
d = 2.055 Å, I 56.4
d = 1.880 Å, I 97.9

Atomic structure:
Cell lengths 7.5210, 7.5210, 22.5644 Å; angles 99.07, 99.07, 59.93 degrees
Sites, in units of the cell vectors:
Ga 0.1306 0.1306 0.3870
Ga 0.2881 0.2881 0.8844
Ga 0.7119 0.7119 0.1156
Ga 0.8694 0.8694 0.6130
Hg 0.0216 0.0216 0.0595
Hg 0.2444 0.7439 0.2198
Hg 0.2445 0.2445 0.2190
Hg 0.2561 0.7556 0.7802
Hg 0.4611 0.4611 0.3805
Hg 0.5000 0.5000 0.5000
Hg 0.5389 0.5389 0.6195
Hg 0.7439 0.2444 0.2198
Hg 0.7555 0.7555 0.7810
Hg 0.7556 0.2561 0.7802
Hg 0.9784 0.9784 0.9405
P 0.0624 0.0624 0.1717
P 0.4254 0.4254 0.2669
P 0.5746 0.5746 0.7331
P 0.9376 0.9376 0.8283
Cl 0.0250 0.5419 0.0860
Cl 0.0387 0.0387 0.6515
Cl 0.0389 0.5666 0.6514
Cl 0.1609 0.1609 0.4844
Cl 0.2570 0.2570 0.7846
Cl 0.4334 0.9611 0.3486
Cl 0.4582 0.4582 0.9145
Cl 0.4581 0.9750 0.9140
Cl 0.5419 0.0250 0.0860
Cl 0.5418 0.5418 0.0855
Cl 0.5666 0.0389 0.6514
Cl 0.7430 0.7430 0.2154
Cl 0.8391 0.8391 0.5156
Cl 0.9611 0.4334 0.3486
Cl 0.9613 0.9613 0.3485
Cl 0.9750 0.4581 0.9140